Structure and calculated X-ray powder pattern of NpHgPd14 (the PBE geometry in Alexandria; Cu Kα).
Lines closer than 0.1° are merged.

Main lines, low angle first (15 to 90 degrees two-theta):
(1 1 0), 21.80 deg, I = 2.5
(1 1 1), 24.63 deg, I = 3.8
(2 0 2), 38.82 deg, I = 100.0
(2 2 0), 44.45 deg, I = 34.0
(0 0 4), 46.46 deg, I = 14.9
(4 0 0), 64.68 deg, I = 10.9
(2 2 4), 66.25 deg, I = 20.3
(4 2 2), 78.07 deg, I = 25.4
(2 0 6), 80.98 deg, I = 11.9
(4 0 4), 83.31 deg, I = 10.8

Cell and atoms:
abc: 5.7644 5.7644 7.8179
angles: 90.00 90.00 90.00
Space group P4/mmm (No. 123)
One atom of each set of equivalent atoms:
Np 0.0000 0.0000 0.0000 [1 per cell]
Hg 0.5000 0.5000 0.0000 [1 per cell]
Pd 0.0000 0.0000 0.5000 [1 per cell]
Pd 0.0000 0.5000 0.0000 [2 per cell]
Pd 0.0000 0.5000 0.5000 [2 per cell]
Pd 0.2472 0.2472 0.2533 [8 per cell]
Pd 0.5000 0.5000 0.5000 [1 per cell]